1.
Starting from a PBE-relaxed structure, the powder diffraction line list of LiSmMnC was simulated for Cu Kα X-rays.

Largest 10 diffraction maxima, in order of falling intensity, 10 to 90 degrees two-theta:
27.35 deg, 3.261 Å, intensity 100.0
40.80 deg, 2.212 Å, intensity 78.6
35.85 deg, 2.505 Å, intensity 50.6
16.02 deg, 5.534 Å, intensity 24.5
32.36 deg, 2.767 Å, intensity 24.4
61.33 deg, 1.512 Å, intensity 21.4
44.89 deg, 2.019 Å, intensity 19.6
53.73 deg, 1.706 Å, intensity 18.3
66.29 deg, 1.410 Å, intensity 16.2
42.04 deg, 2.149 Å, intensity 14.3

a b c (Å): 3.412 3.412 11.067
angles (deg): 90.00 90.00 90.00
Space group P4/nmm (No. 129, origin choice 2)
Inequivalent atoms, fractional coordinates:
1 Li 0.250 0.750 0.000 x2
2 Sm 0.250 0.250 0.275 x2
3 Mn 0.250 0.750 0.500 x2
4 C 0.250 0.250 0.601 x2

=====

2.
Starting from a PBE-relaxed structure, the powder diffraction line list of LiTbMnC was simulated for Cu Kα X-rays.

Largest 10 diffraction maxima, in order of falling intensity, 10 to 90 degrees two-theta:
27.66 deg, 3.225 Å, intensity 100.0
41.29 deg, 2.187 Å, intensity 67.4
36.34 deg, 2.472 Å, intensity 49.2
16.28 deg, 5.445 Å, intensity 26.9
32.90 deg, 2.722 Å, intensity 22.9
62.05 deg, 1.496 Å, intensity 21.3
45.47 deg, 1.995 Å, intensity 19.2
54.34 deg, 1.688 Å, intensity 17.7
67.14 deg, 1.394 Å, intensity 15.9
42.66 deg, 2.119 Å, intensity 14.1

a b c (Å): 3.376 3.376 10.890
angles (deg): 90.00 90.00 90.00
Space group P4/nmm (No. 129, origin choice 2)
Inequivalent atoms, fractional coordinates:
1 Li 0.250 0.750 0.000 x2
2 Tb 0.250 0.250 0.276 x2
3 Mn 0.250 0.750 0.500 x2
4 C 0.250 0.250 0.607 x2

=====

3.
Starting from a PBE-relaxed structure, the powder diffraction line list of LiMoC was simulated for Cu Kα X-rays.

Largest 10 diffraction maxima, in order of falling intensity, 10 to 90 degrees two-theta:
18.33 deg, 4.841 Å, intensity 100.0
30.90 deg, 2.894 Å, intensity 51.8
40.23 deg, 2.242 Å, intensity 50.9
38.45 deg, 2.341 Å, intensity 46.1
35.61 deg, 2.521 Å, intensity 27.6
46.83 deg, 1.940 Å, intensity 25.1
33.29 deg, 2.691 Å, intensity 25.1
20.04 deg, 4.432 Å, intensity 23.5
32.60 deg, 2.747 Å, intensity 21.4
39.94 deg, 2.257 Å, intensity 18.0

a b c (Å): 10.088 3.055 5.409
angles (deg): 90.00 116.49 90.00
Space group C2/m (No. 12)
Inequivalent atoms, fractional coordinates:
1 Li 0.128 0.000 0.448 x4
2 Mo 0.110 0.500 0.899 x4
3 C 0.000 0.000 0.000 x2
4 C 0.000 0.500 0.500 x2

=====

4.
Starting from a PBE-relaxed structure, the powder diffraction line list of LiC2N3 was simulated for Cu Kα X-rays.

Largest 10 diffraction maxima, in order of falling intensity, 10 to 90 degrees two-theta:
31.18 deg, 2.869 Å, intensity 100.0
26.47 deg, 3.368 Å, intensity 95.6
30.92 deg, 2.892 Å, intensity 75.6
30.24 deg, 2.955 Å, intensity 67.9
26.00 deg, 3.427 Å, intensity 63.5
28.70 deg, 3.110 Å, intensity 46.9
25.10 deg, 3.548 Å, intensity 34.0
18.32 deg, 4.843 Å, intensity 27.7
20.47 deg, 4.338 Å, intensity 17.8
33.98 deg, 2.638 Å, intensity 17.3

a b c (Å): 5.384 5.342 11.710
angles (deg): 90.00 101.49 90.00
Space group P2/c (No. 13)
Inequivalent atoms, fractional coordinates:
1 Li 0.000 0.000 0.000 x2
2 Li 0.000 0.090 0.250 x2
3 C 0.246 0.494 0.117 x4
4 C 0.450 0.204 0.889 x4
5 N 0.157 0.300 0.134 x4
6 N 0.248 0.109 0.876 x4
7 N 0.318 0.284 0.592 x4

=====

5.
Starting from a PBE-relaxed structure, the powder diffraction line list of Li3CN3 was simulated for Cu Kα X-rays.

Largest 10 diffraction maxima, in order of falling intensity, 10 to 90 degrees two-theta:
31.92 deg, 2.803 Å, intensity 100.0
19.88 deg, 4.466 Å, intensity 88.6
34.80 deg, 2.578 Å, intensity 39.0
52.39 deg, 1.747 Å, intensity 21.9
56.58 deg, 1.627 Å, intensity 20.5
37.89 deg, 2.374 Å, intensity 19.0
54.35 deg, 1.688 Å, intensity 15.5
62.96 deg, 1.476 Å, intensity 9.2
87.34 deg, 1.116 Å, intensity 7.7
71.80 deg, 1.315 Å, intensity 6.3

a b c (Å): 8.9315 8.9315 3.0078
angles (deg): 90.00 90.00 120.00
Space group R3m (No. 160, hexagonal axes)
Inequivalent atoms, fractional coordinates:
1 Li 0.0153 0.5077 0.0000 x9
2 C 0.0000 0.0000 0.1654 x3
3 N 0.1742 0.0871 0.1704 x9

=====

6.
Starting from a PBE-relaxed structure, the powder diffraction line list of Li3CN3 was simulated for Cu Kα X-rays.

Largest 10 diffraction maxima, in order of falling intensity, 10 to 90 degrees two-theta:
27.11 deg, 3.289 Å, intensity 100.0
43.92 deg, 2.062 Å, intensity 37.9
32.84 deg, 2.727 Å, intensity 37.5
16.25 deg, 5.455 Å, intensity 24.1
55.21 deg, 1.664 Å, intensity 12.6
55.91 deg, 1.645 Å, intensity 11.4
58.63 deg, 1.575 Å, intensity 8.4
76.06 deg, 1.251 Å, intensity 7.9
63.85 deg, 1.458 Å, intensity 6.7
80.15 deg, 1.197 Å, intensity 5.3

a b c (Å): 6.2987 6.2987 4.1229
angles (deg): 90.00 90.00 120.00
Space group P6_3/mmc (No. 194)
Inequivalent atoms, fractional coordinates:
1 Li 0.1690 0.3380 0.2500 x6
2 C 0.3333 0.6667 0.7500 x2
3 N 0.2102 0.4205 0.7500 x6

=====

7.
Starting from a PBE-relaxed structure, the powder diffraction line list of NaLi2CN2 was simulated for Cu Kα X-rays.

Largest 10 diffraction maxima, in order of falling intensity, 10 to 90 degrees two-theta:
31.13 deg, 2.873 Å, intensity 100.0
36.87 deg, 2.438 Å, intensity 62.4
34.75 deg, 2.582 Å, intensity 45.1
33.95 deg, 2.641 Å, intensity 37.1
19.25 deg, 4.610 Å, intensity 28.9
39.22 deg, 2.297 Å, intensity 17.6
40.03 deg, 2.252 Å, intensity 15.0
60.05 deg, 1.541 Å, intensity 14.8
52.97 deg, 1.729 Å, intensity 14.8
53.39 deg, 1.716 Å, intensity 13.6

a b c (Å): 5.163 9.219 3.457
angles (deg): 90.00 90.00 90.00
Space group Pnnm (No. 58)
Inequivalent atoms, fractional coordinates:
1 Na 0.000 0.000 0.000 x2
2 Li 0.117 0.267 0.500 x4
3 C 0.000 0.500 0.000 x2
4 N 0.030 0.634 0.000 x4

=====

8.
Starting from a PBE-relaxed structure, the powder diffraction line list of Li2NpCN4 was simulated for Cu Kα X-rays.

Largest 10 diffraction maxima, in order of falling intensity, 10 to 90 degrees two-theta:
20.65 deg, 4.302 Å, intensity 100.0
18.16 deg, 4.885 Å, intensity 38.5
33.27 deg, 2.693 Å, intensity 22.0
43.49 deg, 2.081 Å, intensity 19.4
42.96 deg, 2.105 Å, intensity 18.8
26.51 deg, 3.362 Å, intensity 17.4
26.10 deg, 3.414 Å, intensity 16.5
37.54 deg, 2.396 Å, intensity 15.6
31.98 deg, 2.798 Å, intensity 15.5
42.01 deg, 2.151 Å, intensity 14.8

a b c (Å): 6.828 9.769 6.725
angles (deg): 90.00 90.00 90.00
Space group Fmm2 (No. 42)
Inequivalent atoms, fractional coordinates:
1 Li 0.250 0.250 0.000 x8
2 Np 0.000 0.000 0.162 x4
3 C 0.000 0.000 0.540 x4
4 N 0.000 0.186 0.152 x8
5 N 0.179 0.000 0.517 x8